# Tl5In12Bi2
Theoretical X-ray powder pattern, a wavelength of 1.5418 Å. Input: a crystal structure in Alexandria, relaxed with GGA-PBE.
Neutral-atom scattering factors, no anomalous dispersion.

Most intense lines, 2θ = 15–90°, in order of rising 2θ:
| two_theta | d (Å) | I_rel |
| --- | --- | --- |
| 18.9 | 4.684 | 7 |
| 31.7 | 2.818 | 32 |
| 32.9 | 2.720 | 100 |
| 33.8 | 2.651 | 62 |
| 46.4 | 1.956 | 22 |
| 49.4 | 1.846 | 13 |
| 56.7 | 1.623 | 10 |
| 58.5 | 1.578 | 9 |
| 58.8 | 1.570 | 12 |
| 59.4 | 1.556 | 12 |
| 60.6 | 1.527 | 12 |
| 69.1 | 1.359 | 7 |

```
Tl5In12Bi2
1.0
9.5556 -5.4357 0.0000
9.5556 5.4357 0.0000
-1.4577 0.0000 5.4495
Tl In Bi
5 12 2
direct
0.0000 0.0000 0.0000
0.1961 0.1961 0.1606
0.3025 0.3025 0.7437
0.6975 0.6975 0.2563
0.8039 0.8039 0.8394
0.0480 0.5520 0.3011
0.0984 0.0984 0.5795
0.1654 0.6410 0.9064
0.3590 0.8346 0.0936
0.3988 0.3988 0.3241
0.4480 0.9520 0.6989
0.5520 0.0480 0.3011
0.6012 0.6012 0.6759
0.6410 0.1654 0.9064
0.8346 0.3590 0.0936
0.9016 0.9016 0.4205
0.9520 0.4480 0.6989
0.2633 0.7367 0.5000
0.7367 0.2633 0.5000
```

# RbNaS14
Theoretical X-ray powder pattern, a wavelength of 1.5418 Å. Input: a crystal structure in Alexandria, relaxed with GGA-PBE.
Neutral-atom scattering factors, no anomalous dispersion.

Most intense lines, 2θ = 15–90°, in order of rising 2θ:
| two_theta | d (Å) | I_rel |
| --- | --- | --- |
| 17.6 | 5.034 | 29 |
| 19.8 | 4.480 | 36 |
| 23.2 | 3.837 | 100 |
| 23.7 | 3.755 | 50 |
| 27.1 | 3.288 | 25 |
| 28.9 | 3.091 | 25 |
| 29.2 | 3.058 | 63 |
| 30.6 | 2.918 | 30 |
| 32.9 | 2.720 | 36 |
| 33.4 | 2.684 | 33 |
| 33.8 | 2.654 | 24 |
| 35.6 | 2.525 | 47 |

```
RbNaS14
1.0
-3.6647 7.5098 8.9593
3.6647 -7.5098 8.9593
3.6647 7.5098 -8.9593
Rb Na S
2 2 28
direct
0.3025 0.0525 0.2500
0.6975 0.9475 0.7500
0.0000 0.0000 0.5000
0.0000 0.5000 0.0000
0.0251 0.1808 0.3963
0.0251 0.6288 0.8443
0.0277 0.8709 0.1568
0.0684 0.6670 0.4014
0.2141 0.8709 0.3432
0.2343 0.3330 0.9014
0.2845 0.1808 0.6557
0.2845 0.6288 0.1037
0.2902 0.6051 0.6851
0.3311 0.4267 0.3642
0.3311 0.9669 0.9044
0.4200 0.6051 0.8149
0.4375 0.0331 0.8642
0.4375 0.5733 0.4044
0.5625 0.4267 0.5956
0.5625 0.9669 0.1358
0.5800 0.3949 0.1851
0.6689 0.0331 0.0956
0.6689 0.5733 0.6358
0.7098 0.3949 0.3149
0.7155 0.3712 0.8963
0.7155 0.8192 0.3443
0.7657 0.6670 0.0986
0.7859 0.1291 0.6568
0.9316 0.3330 0.5986
0.9723 0.1291 0.8432
0.9749 0.3712 0.1557
0.9749 0.8192 0.6037
```

# TiTlTeO6
Theoretical X-ray powder pattern, a wavelength of 1.5418 Å. Input: a crystal structure in Alexandria, relaxed with GGA-PBE.
Neutral-atom scattering factors, no anomalous dispersion.

Most intense lines, 2θ = 15–90°, in order of rising 2θ:
| two_theta | d (Å) | I_rel |
| --- | --- | --- |
| 19.4 | 4.584 | 15 |
| 25.8 | 3.453 | 100 |
| 33.9 | 2.647 | 29 |
| 39.6 | 2.277 | 8 |
| 43.1 | 2.101 | 23 |
| 48.9 | 1.864 | 33 |
| 55.9 | 1.645 | 23 |
| 56.3 | 1.634 | 11 |
| 60.6 | 1.528 | 10 |
| 67.3 | 1.391 | 8 |
| 77.2 | 1.236 | 10 |
| 77.5 | 1.231 | 9 |

```
TiTlTeO6
1.0
5.2937 0.0000 0.0000
-2.6468 4.5844 0.0000
0.0000 0.0000 5.2483
Ti Tl Te O
1 1 1 6
direct
0.0000 0.0000 0.0000
0.6667 0.3333 0.5000
0.3333 0.6667 0.0000
0.0503 0.3373 0.2060
0.0503 0.7130 0.7940
0.2870 0.3373 0.7940
0.2870 0.9497 0.2060
0.6627 0.7130 0.2060
0.6627 0.9497 0.7940
```